The following is a computed PXRD pattern of Sm4Rh3. It was derived from DFT lattice parameters and positions (PBE), using Cu Kα, 1.54184 Å.
Neutral-atom scattering factors, no anomalous dispersion.

Atomic structure:
```
Sm4Rh3
1.0
2.455 1.417 8.094
-2.455 1.417 8.094
0.000 -2.835 8.094
Sm Rh
4 3
Cartesian
0.000 0.000 3.022
0.000 0.000 9.108
0.000 0.000 15.173
0.000 0.000 21.260
0.000 0.000 6.067
0.000 0.000 12.141
0.000 0.000 18.214
```

The 8 most intense peaks (10 to 90 degrees two-theta), in order of rising 2θ:
d (Å)	I_rel
3.483	23
2.470	100
2.455	98
1.741	35
1.429	18
1.420	35
1.417	17
1.103	16